This entry pairs a crystal structure of ErNiBO4 with its simulated powder X-ray diffraction pattern. Radiation: CuKα. Structure: a crystal structure in Alexandria, relaxed with GGA+U.
Lines closer than 0.1° are merged.

Cell and atoms:
Lattice parameters (Å, degrees): 5.7814 5.7814 5.7814 120.89 116.86 91.99
Element x y z (fractional)
Er1 0.0000 0.0000 0.0000
Er2 0.5000 0.0000 0.5000
Ni1 0.5000 0.0000 0.0000
Ni2 0.5000 0.5000 0.5000
B1 0.1354 0.3854 0.7500
B2 0.8646 0.6146 0.2500
O1 0.1889 0.7265 0.4624
O2 0.2358 0.2735 0.9624
O3 0.2447 0.2770 0.5323
O4 0.2447 0.7125 0.9677
O5 0.7553 0.2875 0.0323
O6 0.7553 0.7230 0.4677
O7 0.7642 0.7265 0.0376
O8 0.8111 0.2735 0.5376

Top 8 peaks for 10 to 90 degrees two-theta, sorted by position:
Position (°2θ)  d_spacing  Rel. int.
19.08  4.651  100
35.38  2.537  62
37.09  2.424  28
37.20  2.417  26
38.72  2.325  23
43.61  2.076  45
48.09  1.892  28
64.57  1.443  27